1.
Simulated powder X-ray diffraction pattern of Ba2FeReO6 for a wavelength of 1.5418 Å, from a structure optimized by DFT (PBE+U).
Neutral-atom scattering factors, no anomalous dispersion.

The 10 most intense peaks (2θ = 5–70°), by angle:
2theta	I (rel.)	h k l
18.8	161	1 1 1
31.0	1000	2 2 0
36.5	88	3 1 1
38.2	23	2 2 2
44.4	296	4 0 0
48.6	38	3 3 1
55.1	397	4 2 2
58.8	34	5 1 1
64.6	183	4 4 0
68.0	34	5 3 1

Cell and atoms:
a = 8.1593 Å, b = 8.1593 Å, c = 8.1593 Å
α = 90.00°, β = 90.00°, γ = 90.00°
Space group Fm-3m (No. 225)
Symmetry-distinct sites (fractional):
Ba: 0.2500 0.2500 0.2500
Fe: 0.0000 0.0000 0.0000
Re: 0.0000 0.0000 0.5000
O: 0.0000 0.0000 0.2569

---

2.
Simulated powder X-ray diffraction pattern of AgMo3P3O16 for a wavelength of 1.5418 Å, from a structure optimized by DFT (PBE+U).
Neutral-atom scattering factors, no anomalous dispersion.

The 10 most intense peaks (2θ = 5–70°), by angle:
2theta	I (rel.)	h k l
7.0	266	0 0 1
19.4	1000	1 1 2
20.0	236	1 1 -1
23.0	476	0 2 0
23.3	510	1 -1 2
25.1	562	0 2 2
28.8	707	0 2 3
29.2	566	2 1 0
33.7	225	0 2 -3
36.6	211	2 0 4

Cell and atoms:
a = 6.5160 Å, b = 7.9024 Å, c = 13.0254 Å
α = 80.12°, β = 79.57°, γ = 82.61°
Space group P-1 (No. 2)
Symmetry-distinct sites (fractional):
Ag: 0.0925 0.3756 0.3299
Mo: 0.0982 0.2332 0.8354
Mo: 0.3016 0.7849 0.4575
Mo: 0.4391 0.7893 0.8584
P: 0.0758 0.1660 0.1002
P: 0.1938 0.1445 0.5766
P: 0.4350 0.5116 0.6849
O: 0.0156 0.2491 0.5198
O: 0.0762 0.9705 0.1040
O: 0.1020 0.6073 0.1834
O: 0.1280 0.2574 0.9858
O: 0.1369 0.1500 0.6955
O: 0.1399 0.7563 0.8440
O: 0.2201 0.9524 0.5654
O: 0.2449 0.2033 0.1627
O: 0.2797 0.5953 0.6103
O: 0.3097 0.9423 0.3503
O: 0.3372 0.3833 0.7780
O: 0.3634 0.5750 0.3768
O: 0.3655 0.0112 0.8607
O: 0.3920 0.2340 0.5257
O: 0.4164 0.6925 0.9863
O: 0.4850 0.3451 0.2651

---

3.
Simulated powder X-ray diffraction pattern of MgFe3Ni2SbP6O24 for a wavelength of 1.5418 Å, from a structure optimized by DFT (PBE+U).
Neutral-atom scattering factors, no anomalous dispersion.

The 10 most intense peaks (2θ = 5–70°), by angle:
2theta	I (rel.)	h k l
20.4	1000	1 1 0
23.9	702	1 1 3
32.2	314	2 -1 6
35.7	380	3 0 0
41.0	134	2 0 8
43.2	149	2 1 7
46.3	344	3 -2 8
48.9	129	2 2 6
55.5	178	3 1 8
55.9	258	1 4 0

Cell and atoms:
a = 8.7014 Å, b = 8.7014 Å, c = 21.6632 Å
α = 90.00°, β = 90.00°, γ = 120.00°
Space group R3 (No. 146, hexagonal axes)
Symmetry-distinct sites (fractional):
Mg: 0.0000 0.0000 0.0000
Fe: 0.0000 0.0000 0.1180
Fe: 0.0000 0.0000 0.3903
Fe: 0.0000 0.0000 0.5936
Ni: 0.0000 0.0000 0.2509
Ni: 0.0000 0.0000 0.7285
Sb: 0.0000 0.0000 0.8696
P: 0.0009 0.6965 0.9952
P: 0.0486 0.3782 0.1602
O: 0.0080 0.8328 0.6627
O: 0.0096 0.8163 0.9393
O: 0.0196 0.1936 0.1783
O: 0.0487 0.2138 0.5492
O: 0.1410 0.6742 0.7182
O: 0.1579 0.4566 0.1019
O: 0.1641 0.4764 0.4743
O: 0.1676 0.6768 0.9891

---

4.
Simulated powder X-ray diffraction pattern of CaCo6O2F10 for a wavelength of 1.5418 Å, from a structure optimized by DFT (PBE+U).
Neutral-atom scattering factors, no anomalous dispersion.

The 10 most intense peaks (2θ = 5–70°), by angle:
2theta	I (rel.)	h k l
7.8	375	0 0 1
23.4	266	0 0 3
25.5	1000	1 -1 0
27.4	149	1 1 0
27.7	522	1 1 -1
31.3	333	0 1 3
35.5	308	1 0 -4
38.1	409	2 0 -1
48.7	161	-1 2 3
52.4	350	2 -2 0

Cell and atoms:
a = 4.7768 Å, b = 4.7886 Å, c = 11.4409 Å
α = 94.21°, β = 94.11°, γ = 93.77°
Space group P1 (No. 1)
Symmetry-distinct sites (fractional):
Ca: 0.0000 0.0000 0.0000
Co: 0.1873 0.1856 0.3766
Co: 0.2514 0.2515 0.6482
Co: 0.3985 0.3992 0.9249
Co: 0.6712 0.6703 0.4965
Co: 0.7142 0.7123 0.2362
Co: 0.8467 0.8474 0.7405
O: 0.1184 0.1186 0.8089
O: 0.3876 0.3869 0.5044
F: 0.0019 0.0004 0.2018
F: 0.0285 0.5227 0.9843
F: 0.4543 0.8643 0.3434
F: 0.5220 0.0313 0.9849
F: 0.5331 0.5367 0.0942
F: 0.5329 0.9471 0.6367
F: 0.5460 0.5485 0.7885
F: 0.8660 0.4528 0.3431
F: 0.9471 0.5334 0.6370
F: 0.9721 0.9717 0.4924